1.
USiRu: simulated powder XRD pattern (Cu Kα), based on a crystal structure in the Materials Project, relaxed with GGA-PBE.
Peak positions follow from Bragg's law for the DFT cell and can differ from measured ones.

Largest 10 diffraction maxima, most intense first, 2θ from 10° to 80°:
2θ/deg	Rel. int.
36.74	100
35.05	57
23.84	36
38.65	28
43.59	25
25.31	23
42.71	22
55.76	18
59.65	16
62.67	15

Atomic structure:
a b c (Å): 7.4648 4.1528 6.6233
angles (deg): 90.00 90.00 90.00
Fractional positions:
U 0.0065 0.2500 0.1476
U 0.4935 0.7500 0.6476
U 0.5065 0.2500 0.3524
U 0.9935 0.7500 0.8524
Si 0.1974 0.2500 0.6158
Si 0.3026 0.7500 0.1158
Si 0.6974 0.2500 0.8842
Si 0.8026 0.7500 0.3842
Ru 0.1302 0.7500 0.4328
Ru 0.3698 0.2500 0.9328
Ru 0.6302 0.7500 0.0672
Ru 0.8698 0.2500 0.5672

2.
RbNaMg6: simulated powder XRD pattern (Cu Kα), based on a crystal structure in the Materials Project, relaxed with GGA-PBE.
Peak positions follow from Bragg's law for the DFT cell and can differ from measured ones.

Largest 10 diffraction maxima, most intense first, 2θ from 10° to 80°:
2θ/deg	Rel. int.
33.47	100
34.03	57
32.95	37
29.03	34
21.82	30
52.25	21
44.48	21
14.40	19
63.16	19
59.17	18

Atomic structure:
a b c (Å): 5.4364 7.0065 7.0065
angles (deg): 61.42 90.00 90.00
Fractional positions:
Rb 0.0000 0.0000 0.0000
Na 0.5000 0.1677 0.1677
Mg 0.0000 0.4897 0.4897
Mg 0.0000 0.5106 0.9891
Mg 0.0000 0.9891 0.5106
Mg 0.5000 0.1790 0.6210
Mg 0.5000 0.6210 0.1790
Mg 0.5000 0.6598 0.6598

3.
CaAg2O4: simulated powder XRD pattern (Cu Kα), based on a crystal structure in the Materials Project, relaxed with GGA-PBE.
Peak positions follow from Bragg's law for the DFT cell and can differ from measured ones.

Largest 10 diffraction maxima, most intense first, 2θ from 10° to 80°:
2θ/deg	Rel. int.
31.48	100
17.82	39
26.76	39
32.54	38
35.47	32
32.34	29
39.97	25
57.40	24
31.63	24
25.49	21

Atomic structure:
a b c (Å): 3.4949 11.0081 9.9537
angles (deg): 90.00 90.00 90.00
Fractional positions:
Ca 0.1270 0.1496 0.2500
Ca 0.1270 0.3504 0.7500
Ca 0.8730 0.6496 0.2500
Ca 0.8730 0.8504 0.7500
Ag 0.3465 0.6143 0.5699
Ag 0.3465 0.6143 0.9301
Ag 0.3465 0.8857 0.0699
Ag 0.3465 0.8857 0.4301
Ag 0.6535 0.1143 0.5699
Ag 0.6535 0.1143 0.9301
Ag 0.6535 0.3857 0.0699
Ag 0.6535 0.3857 0.4301
O 0.0075 0.7500 0.0000
O 0.0075 0.7500 0.5000
O 0.3649 0.5433 0.1192
O 0.3649 0.5433 0.3808
O 0.3649 0.9567 0.6192
O 0.3649 0.9567 0.8808
O 0.3657 0.7024 0.7500
O 0.3657 0.7976 0.2500
O 0.6343 0.2024 0.7500
O 0.6343 0.2976 0.2500
O 0.6351 0.0433 0.1192
O 0.6351 0.0433 0.3808
O 0.6351 0.4567 0.6192
O 0.6351 0.4567 0.8808
O 0.9925 0.2500 0.0000
O 0.9925 0.2500 0.5000

4.
NaMg6Cd: simulated powder XRD pattern (Cu Kα), based on a crystal structure in the Materials Project, relaxed with GGA-PBE.
Peak positions follow from Bragg's law for the DFT cell and can differ from measured ones.

Largest 10 diffraction maxima, most intense first, 2θ from 10° to 80°:
2θ/deg	Rel. int.
36.56	100
15.94	46
23.29	38
32.20	29
34.11	26
62.66	19
47.61	19
68.50	19
57.41	16
32.69	16

Atomic structure:
a b c (Å): 5.2577 6.4203 6.4203
angles (deg): 59.99 90.00 90.00
Fractional positions:
Na 0.0000 0.0000 0.0000
Mg 0.0000 0.0008 0.4988
Mg 0.0000 0.4988 0.0008
Mg 0.5000 0.1673 0.1673
Mg 0.5000 0.1677 0.6651
Mg 0.5000 0.6651 0.1677
Mg 0.5000 0.6664 0.6664
Cd 0.0000 0.4995 0.4995

5.
NbAu4: simulated powder XRD pattern (Cu Kα), based on a crystal structure in the Materials Project, relaxed with GGA-PBE.
Peak positions follow from Bragg's law for the DFT cell and can differ from measured ones.

Largest 10 diffraction maxima, most intense first, 2θ from 10° to 80°:
2θ/deg	Rel. int.
37.42	100
43.45	66
75.77	39
37.30	33
63.21	22
63.05	22
75.60	13
79.82	12
79.53	4
14.70	3

Atomic structure:
a b c (Å): 12.1714 12.1714 12.1714
angles (deg): 13.88 13.88 13.88
Fractional positions:
Nb 0.0000 0.0000 0.0000
Au 0.2003 0.2003 0.2003
Au 0.3987 0.3987 0.3987
Au 0.6013 0.6013 0.6013
Au 0.7997 0.7997 0.7997

6.
Na6Nb3GaSi6O24: simulated powder XRD pattern (Cu Kα), based on a crystal structure in the Materials Project, relaxed with GGA-PBE.
Peak positions follow from Bragg's law for the DFT cell and can differ from measured ones.

Largest 10 diffraction maxima, most intense first, 2θ from 10° to 80°:
2θ/deg	Rel. int.
19.64	100
19.51	63
34.25	42
31.04	28
27.73	27
31.44	25
22.93	21
34.38	20
13.77	19
28.09	19

Atomic structure:
a b c (Å): 9.0199 9.0445 9.0480
angles (deg): 90.79 119.41 119.62
Fractional positions:
Na 0.0000 0.0000 0.0000
Na 0.0097 0.4920 0.5044
Na 0.1812 0.8994 0.4191
Na 0.4844 0.7592 0.8817
Na 0.5566 0.2311 0.1144
Na 0.8570 0.1018 0.6167
Nb 0.2917 0.8457 0.1460
Nb 0.3031 0.3508 0.6491
Nb 0.7174 0.6338 0.3585
Ga 0.7271 0.1396 0.8621
Si 0.2125 0.4423 0.9653
Si 0.2229 0.9508 0.7556
Si 0.5037 0.7421 0.5461
Si 0.5298 0.2464 0.4753
Si 0.8015 0.5266 0.0393
Si 0.8050 0.0356 0.2519
O 0.0194 0.2542 0.9316
O 0.0228 0.7677 0.5785
O 0.2109 0.4364 0.7813
O 0.2173 0.9400 0.9342
O 0.2179 0.1281 0.7164
O 0.2287 0.6307 0.0118
O 0.3419 0.5702 0.5709
O 0.3495 0.0720 0.2825
O 0.3674 0.7874 0.3731
O 0.3867 0.2817 0.5165
O 0.4274 0.9767 0.7849
O 0.4369 0.4871 0.1352
O 0.5856 0.4976 0.8694
O 0.5876 0.9970 0.2170
O 0.6323 0.6982 0.4923
O 0.6626 0.1970 0.6357
O 0.6748 0.4111 0.4319
O 0.6759 0.9109 0.7323
O 0.7895 0.3442 0.0106
O 0.8049 0.0417 0.0746
O 0.8077 0.8602 0.2993
O 0.8157 0.5590 0.2281
O 0.9924 0.2158 0.4341
O 0.9992 0.7202 0.0720